The following is a calculated powder diffractogram of Rb7DyFe6P8O34. It was derived from a GGA+U-relaxed structure, using Cu Kα, 1.54184 Å.

Top 6 peaks for 2θ = 5–70°, in order of rising 2θ:
two_theta	d/Å	I/Imax
26.45	3.370	50.1
27.93	3.194	49.9
28.54	3.128	44.1
29.34	3.044	100.0
29.96	2.983	36.8
30.38	2.943	49.2

Atomic structure:
```
data_Rb7DyFe6P8O34
_cell_length_a 9.241
_cell_length_b 10.049
_cell_length_c 10.081
_cell_angle_alpha 92.02
_cell_angle_beta 94.78
_cell_angle_gamma 116.11
_space_group_name_H-M_alt 'P -1'
_space_group_IT_number 2
_space_group_name_Hall '-P 1'
loop_
_atom_site_label
_atom_site_fract_x
_atom_site_fract_y
_atom_site_fract_z
_atom_site_occupancy
Rb1 0.000 0.000 0.000 1
Rb2 0.131 0.974 0.374 1
Rb3 0.184 0.444 0.918 1
Rb4 0.422 0.790 0.651 1
Dy1 0.000 0.500 0.500 1
Fe1 0.335 0.417 0.285 1
Fe2 0.338 0.101 0.757 1
Fe3 0.347 0.896 0.029 1
P1 0.060 0.763 0.773 1
P2 0.294 0.720 0.292 1
P3 0.299 0.340 0.574 1
P4 0.410 0.221 0.045 1
O1 0.081 0.635 0.701 1
O2 0.119 0.262 0.234 1
O3 0.124 0.789 0.923 1
O4 0.152 0.909 0.700 1
O5 0.180 0.408 0.550 1
O6 0.193 0.699 0.411 1
O7 0.214 0.184 0.629 1
O8 0.233 0.792 0.182 1
O9 0.273 0.567 0.233 1
O10 0.316 0.070 0.105 1
O11 0.316 0.217 0.906 1
O12 0.356 0.314 0.437 1
O13 0.409 0.741 0.967 1
O14 0.412 0.349 0.134 1
O15 0.437 0.007 0.878 1
O16 0.442 0.441 0.677 1
O17 0.475 0.826 0.347 1
```